1.
For Pr3InHg4, a structure optimized by DFT (PBE) gives the computed powder diffraction line list in this record (λ = 1.5418 Å (Cu Kα)).
Lines closer than 0.1° are merged.

Cell and atoms:
```
8
Lattice="-1.927 3.999 7.764 1.927 -3.999 7.764 1.927 3.999 -7.764" Properties=species:S:1:pos:R:3 pbc="T T T"
Pr 0.000 0.000 0.000
Pr 1.927 0.000 4.811
Pr 0.000 3.999 2.952
In 0.000 0.000 7.764
Hg 1.927 1.606 -2.088
Hg 1.927 1.606 2.088
Hg 0.000 2.393 5.676
Hg 0.000 2.393 9.851
```

The 10 most intense peaks (2θ from 10° to 90°), sorted by position:
2θ = 23.78°, I = 40.7
2θ = 28.15°, I = 83.2
2θ = 32.14°, I = 100.0
2θ = 32.78°, I = 72.1
2θ = 34.66°, I = 70.2
2θ = 36.75°, I = 99.3
2θ = 37.96°, I = 50.3
2θ = 47.16°, I = 37.7
2θ = 58.21°, I = 37.2
2θ = 64.09°, I = 51.4

2.
For Pr7InHg2, a structure optimized by DFT (PBE) gives the computed powder diffraction line list in this record (λ = 1.5418 Å (Cu Kα)).
Lines closer than 0.1° are merged.

Cell and atoms:
```
10
Lattice="4.685 -7.837 0.000 4.685 7.837 0.000 0.000 0.000 5.272" Properties=species:S:1:pos:R:3 pbc="T T T"
Pr 0.000 0.000 0.000
Pr 2.955 1.781 0.000
Pr 4.685 3.501 2.636
Pr 2.955 -1.781 0.000
Pr 6.416 1.781 0.000
Pr 4.685 -3.501 2.636
Pr 6.416 -1.781 0.000
In 4.685 0.000 2.636
Hg 4.685 4.783 0.000
Hg 4.685 -4.783 0.000
```

The 10 most intense peaks (2θ from 10° to 90°), sorted by position:
2θ = 16.82°, I = 63.5
2θ = 18.94°, I = 29.7
2θ = 20.14°, I = 24.7
2θ = 28.38°, I = 33.0
2θ = 29.72°, I = 56.0
2θ = 33.84°, I = 66.5
2θ = 34.01°, I = 52.2
2θ = 34.64°, I = 100.0
2θ = 45.78°, I = 34.1
2θ = 60.14°, I = 31.0

3.
For Pr4InHg2, a structure optimized by DFT (PBE) gives the computed powder diffraction line list in this record (λ = 1.5418 Å (Cu Kα)).
Lines closer than 0.1° are merged.

Cell and atoms:
```
7
Lattice="2.712 1.566 8.602 -2.712 1.566 8.602 0.000 -3.132 8.602" Properties=species:S:1:pos:R:3 pbc="T T T"
Pr 0.000 0.000 2.974
Pr 0.000 0.000 9.525
Pr 0.000 0.000 16.282
Pr 0.000 0.000 22.833
In 0.000 0.000 12.904
Hg 0.000 0.000 6.289
Hg 0.000 0.000 19.519
```

The 10 most intense peaks (2θ from 10° to 90°), sorted by position:
2θ = 20.12°, I = 20.0
2θ = 30.83°, I = 14.2
2θ = 33.03°, I = 100.0
2θ = 33.70°, I = 83.6
2θ = 47.91°, I = 31.3
2θ = 58.99°, I = 19.0
2θ = 59.42°, I = 32.9
2θ = 64.10°, I = 10.8
2θ = 69.29°, I = 11.8
2θ = 79.31°, I = 14.4

4.
For Pr5In4Hg, a structure optimized by DFT (PBE) gives the computed powder diffraction line list in this record (λ = 1.5418 Å (Cu Kα)).
Lines closer than 0.1° are merged.

Cell and atoms:
```
10
Lattice="3.867 0.000 0.000 0.000 3.867 0.000 0.000 0.000 19.820" Properties=species:S:1:pos:R:3 pbc="T T T"
Pr 0.000 0.000 0.000
Pr 0.000 0.000 3.974
Pr 0.000 0.000 7.966
Pr 0.000 0.000 11.854
Pr 0.000 0.000 15.846
In 1.934 1.934 1.984
In 1.934 1.934 5.987
In 1.934 1.934 13.833
In 1.934 1.934 17.836
Hg 1.934 1.934 9.910
```

The 10 most intense peaks (2θ from 10° to 90°), sorted by position:
2θ = 32.34°, I = 100.0
2θ = 32.75°, I = 48.4
2θ = 45.78°, I = 9.4
2θ = 46.99°, I = 17.6
2θ = 57.42°, I = 19.1
2θ = 58.20°, I = 36.9
2θ = 67.70°, I = 11.6
2θ = 76.13°, I = 8.2
2θ = 77.93°, I = 7.8
2θ = 78.16°, I = 7.8

5.
For Pr3In4Hg2, a structure optimized by DFT (PBE) gives the computed powder diffraction line list in this record (λ = 1.5418 Å (Cu Kα)).
Lines closer than 0.1° are merged.

Cell and atoms:
```
9
Lattice="5.796 -2.485 0.000 5.796 2.485 0.000 -4.034 0.000 8.553" Properties=species:S:1:pos:R:3 pbc="T T T"
Pr 0.000 0.000 0.000
Pr 2.463 0.000 2.904
Pr 5.097 0.000 5.649
In -1.057 0.000 3.168
In -0.653 0.000 7.974
In 8.212 0.000 0.579
In 8.616 0.000 5.386
Hg 1.502 0.000 6.054
Hg 6.058 0.000 2.499
```

The 10 most intense peaks (2θ from 10° to 90°), sorted by position:
2θ = 31.13°, I = 19.7
2θ = 31.32°, I = 100.0
2θ = 31.41°, I = 38.1
2θ = 35.89°, I = 83.9
2θ = 36.15°, I = 41.5
2θ = 48.44°, I = 18.5
2θ = 48.60°, I = 20.2
2θ = 61.40°, I = 34.0
2θ = 61.96°, I = 16.2
2θ = 64.84°, I = 15.9

6.
For PrInHg2, a structure optimized by DFT (PBE) gives the computed powder diffraction line list in this record (λ = 1.5418 Å (Cu Kα)).
Lines closer than 0.1° are merged.

Cell and atoms:
```
4
Lattice="4.823 0.000 0.000 0.000 4.823 0.000 0.000 0.000 4.521" Properties=species:S:1:pos:R:3 pbc="T T T"
Pr 0.000 0.000 0.000
In 2.412 2.412 0.000
Hg 0.000 2.412 2.260
Hg 2.412 0.000 2.260
```

The 10 most intense peaks (2θ from 10° to 90°), sorted by position:
2θ = 32.90°, I = 100.0
2θ = 37.28°, I = 35.8
2θ = 39.88°, I = 14.9
2θ = 53.75°, I = 12.5
2θ = 55.74°, I = 22.5
2θ = 64.47°, I = 29.0
2θ = 68.01°, I = 12.4
2θ = 68.98°, I = 11.9
2θ = 79.48°, I = 4.1
2θ = 88.73°, I = 6.4

7.
For Pr5In2Hg, a structure optimized by DFT (PBE) gives the computed powder diffraction line list in this record (λ = 1.5418 Å (Cu Kα)).
Lines closer than 0.1° are merged.

Cell and atoms:
```
16
Lattice="-4.113 4.113 7.599 4.113 -4.113 7.599 4.113 4.113 -7.599" Properties=species:S:1:pos:R:3 pbc="T T T"
Pr 0.000 0.000 0.000
Pr 5.507 1.394 -2.320
Pr 1.394 2.719 -2.320
Pr 5.507 1.394 2.320
Pr 1.394 2.719 2.320
Pr 0.000 0.000 7.599
Pr 2.719 1.394 5.279
Pr -1.394 2.719 5.279
Pr 2.719 1.394 9.919
Pr -1.394 2.719 9.919
In 3.084 1.030 0.000
In 3.084 -1.030 7.599
In 1.030 5.143 0.000
In 1.030 3.084 7.599
Hg 0.000 0.000 3.800
Hg 0.000 0.000 11.399
```

The 10 most intense peaks (2θ from 10° to 90°), sorted by position:
2θ = 28.05°, I = 19.4
2θ = 30.02°, I = 100.0
2θ = 30.74°, I = 18.0
2θ = 32.07°, I = 42.0
2θ = 34.48°, I = 57.1
2θ = 35.44°, I = 10.9
2θ = 49.07°, I = 14.5
2θ = 53.03°, I = 16.2
2θ = 60.32°, I = 19.7
2θ = 62.55°, I = 12.7

8.
For Pr4In5Hg2, a structure optimized by DFT (PBE) gives the computed powder diffraction line list in this record (λ = 1.5418 Å (Cu Kα)).
Lines closer than 0.1° are merged.

Cell and atoms:
```
11
Lattice="8.109 0.000 0.000 0.000 3.670 0.000 -0.836 0.000 10.420" Properties=species:S:1:pos:R:3 pbc="T T T"
Pr 1.081 0.000 4.007
Pr 1.424 0.000 9.820
Pr 5.848 0.000 0.600
Pr 6.192 0.000 6.413
In 0.996 1.835 6.902
In 3.430 1.835 2.117
In 3.636 1.835 5.210
In 3.843 1.835 8.303
In 6.277 1.835 3.518
Hg 0.394 1.835 1.427
Hg 6.879 1.835 8.992
```

The 10 most intense peaks (2θ from 10° to 90°), sorted by position:
2θ = 31.32°, I = 48.2
2θ = 32.30°, I = 47.4
2θ = 32.97°, I = 44.7
2θ = 33.69°, I = 47.3
2θ = 35.37°, I = 100.0
2θ = 35.59°, I = 25.3
2θ = 36.47°, I = 26.9
2θ = 49.68°, I = 24.1
2θ = 53.11°, I = 29.1
2θ = 62.46°, I = 38.7

9.
For Pr6InHg5, a structure optimized by DFT (PBE) gives the computed powder diffraction line list in this record (λ = 1.5418 Å (Cu Kα)).
Lines closer than 0.1° are merged.

Cell and atoms:
```
12
Lattice="5.461 0.000 0.000 0.000 7.786 0.000 -2.713 0.000 8.206" Properties=species:S:1:pos:R:3 pbc="T T T"
Pr 0.000 1.929 0.000
Pr 0.000 5.857 0.000
Pr 0.005 1.945 5.455
Pr 0.005 5.841 5.455
Pr 2.742 1.945 2.751
Pr 2.742 5.841 2.751
In 2.730 3.893 0.000
Hg 0.014 3.893 2.706
Hg 0.013 0.000 2.734
Hg 2.730 0.000 0.000
Hg 2.734 0.000 5.473
Hg 2.733 3.893 5.500
```

The 10 most intense peaks (2θ from 10° to 90°), sorted by position:
2θ = 32.65°, I = 100.0
2θ = 32.77°, I = 49.5
2θ = 46.66°, I = 9.3
2θ = 46.97°, I = 9.1
2θ = 47.07°, I = 9.1
2θ = 58.19°, I = 19.4
2θ = 58.39°, I = 28.7
2θ = 58.49°, I = 9.5
2θ = 68.41°, I = 11.9
2θ = 77.61°, I = 8.5

10.
For Pr2In4Hg, a structure optimized by DFT (PBE) gives the computed powder diffraction line list in this record (λ = 1.5418 Å (Cu Kα)).
Lines closer than 0.1° are merged.

Cell and atoms:
```
7
Lattice="3.025 -5.337 0.000 3.025 5.337 0.000 -2.118 0.000 6.253" Properties=species:S:1:pos:R:3 pbc="T T T"
Pr 0.087 0.000 1.700
Pr 3.846 0.000 4.553
In 1.513 2.668 0.000
In 1.966 2.312 3.126
In 1.513 -2.668 0.000
In 1.966 -2.312 3.126
Hg 3.025 0.000 0.000
```

The 10 most intense peaks (2θ from 10° to 90°), sorted by position:
2θ = 25.62°, I = 32.6
2θ = 28.55°, I = 15.1
2θ = 29.03°, I = 47.8
2θ = 33.21°, I = 35.3
2θ = 33.58°, I = 48.4
2θ = 34.34°, I = 100.0
2θ = 35.09°, I = 33.8
2θ = 37.89°, I = 15.4
2θ = 51.39°, I = 17.2
2θ = 65.66°, I = 15.2

11.
For Pr12In5Hg2, a structure optimized by DFT (PBE) gives the computed powder diffraction line list in this record (λ = 1.5418 Å (Cu Kα)).
Lines closer than 0.1° are merged.

Cell and atoms:
```
19
Lattice="8.935 -3.768 0.000 8.935 3.768 0.000 -1.061 0.000 9.349" Properties=species:S:1:pos:R:3 pbc="T T T"
Pr -0.144 0.000 1.773
Pr 5.383 1.817 5.373
Pr 5.157 1.868 9.310
Pr 11.651 1.868 0.040
Pr 11.425 1.817 3.977
Pr 7.870 0.000 2.875
Pr 8.938 0.000 6.474
Pr 5.383 -1.817 5.373
Pr 5.157 -1.868 9.310
Pr 11.651 -1.868 0.040
Pr 11.425 -1.817 3.977
Pr 16.952 0.000 7.576
In 2.783 0.000 6.891
In 4.584 0.000 2.336
In 8.935 0.000 0.000
In 12.224 0.000 7.013
In 14.025 0.000 2.459
Hg 8.404 2.392 4.675
Hg 8.404 -2.392 4.675
```

The 10 most intense peaks (2θ from 10° to 90°), sorted by position:
2θ = 27.82°, I = 32.6
2θ = 29.27°, I = 22.4
2θ = 30.20°, I = 42.8
2θ = 30.47°, I = 100.0
2θ = 31.13°, I = 42.5
2θ = 31.46°, I = 33.7
2θ = 31.94°, I = 32.7
2θ = 33.19°, I = 37.6
2θ = 33.98°, I = 22.1
2θ = 48.31°, I = 18.4

12.
For PrPuInHg, a structure optimized by DFT (PBE) gives the computed powder diffraction line list in this record (λ = 1.5418 Å (Cu Kα)).
Lines closer than 0.1° are merged.

Cell and atoms:
```
4
Lattice="0.000 3.843 3.843 3.843 0.000 3.843 3.843 3.843 0.000" Properties=species:S:1:pos:R:3 pbc="T T T"
Pr 0.000 0.000 0.000
Pu 3.843 3.843 3.843
In 1.922 1.922 1.922
Hg 5.765 5.765 5.765
```

The 10 most intense peaks (2θ from 10° to 90°), sorted by position:
2θ = 20.01°, I = 6.8
2θ = 32.96°, I = 100.0
2θ = 38.86°, I = 4.2
2θ = 47.30°, I = 18.4
2θ = 51.85°, I = 2.0
2θ = 58.86°, I = 38.6
2θ = 69.13°, I = 12.0
2θ = 72.79°, I = 1.5
2θ = 78.74°, I = 16.8
2θ = 88.03°, I = 4.4

Please write out number 2 again, unchanged.
For Pr7InHg2, a structure optimized by DFT (PBE) gives the computed powder diffraction line list in this record (λ = 1.5418 Å (Cu Kα)).
Lines closer than 0.1° are merged.

Cell and atoms:
```
10
Lattice="4.685 -7.837 0.000 4.685 7.837 0.000 0.000 0.000 5.272" Properties=species:S:1:pos:R:3 pbc="T T T"
Pr 0.000 0.000 0.000
Pr 2.955 1.781 0.000
Pr 4.685 3.501 2.636
Pr 2.955 -1.781 0.000
Pr 6.416 1.781 0.000
Pr 4.685 -3.501 2.636
Pr 6.416 -1.781 0.000
In 4.685 0.000 2.636
Hg 4.685 4.783 0.000
Hg 4.685 -4.783 0.000
```

The 10 most intense peaks (2θ from 10° to 90°), sorted by position:
2θ = 16.82°, I = 63.5
2θ = 18.94°, I = 29.7
2θ = 20.14°, I = 24.7
2θ = 28.38°, I = 33.0
2θ = 29.72°, I = 56.0
2θ = 33.84°, I = 66.5
2θ = 34.01°, I = 52.2
2θ = 34.64°, I = 100.0
2θ = 45.78°, I = 34.1
2θ = 60.14°, I = 31.0